Entry 1:
Structure and simulated XRD peak list of LiAg4Br5 (the GGA-PBE geometry in Alexandria; CuKα).
Peak positions follow from Bragg's law for the DFT cell and can differ from measured ones.

Structure:
Cell lengths 4.415, 4.415, 35.852 Å; angles 90.00, 90.00, 120.00 degrees
Element x y z (fractional)
Li 0.000 0.000 0.000
Li 0.000 0.000 0.192
Ag 0.000 0.000 0.389
Ag 0.000 0.000 0.594
Ag 0.000 0.000 0.799
Ag 0.333 0.667 0.093
Ag 0.333 0.667 0.285
Ag 0.333 0.667 0.491
Ag 0.333 0.667 0.697
Ag 0.333 0.667 0.902
Br 0.000 0.000 0.120
Br 0.000 0.000 0.313
Br 0.000 0.000 0.518
Br 0.000 0.000 0.723
Br 0.000 0.000 0.928
Br 0.333 0.667 0.018
Br 0.333 0.667 0.210
Br 0.333 0.667 0.416
Br 0.333 0.667 0.621
Br 0.333 0.667 0.826

Largest 8 diffraction maxima, in order of rising 2θ, 2θ = 10–80°:
| 2θ/deg | I_rel |
| --- | --- |
| 23.3 | 1000 |
| 24.8 | 477 |
| 26.4 | 634 |
| 34.3 | 353 |
| 40.9 | 854 |
| 44.7 | 660 |
| 48.4 | 446 |
| 77.1 | 263 |

Entry 2:
Structure and simulated XRD peak list of LiEr4Al2 (the GGA-PBE geometry in Alexandria; CuKα).
Peak positions follow from Bragg's law for the DFT cell and can differ from measured ones.

Structure:
Cell lengths 8.633, 8.633, 8.633 Å; angles 34.19, 34.19, 34.19 degrees
Element x y z (fractional)
Li 0.000 0.000 0.000
Er 0.130 0.130 0.130
Er 0.382 0.382 0.382
Er 0.618 0.618 0.618
Er 0.870 0.870 0.870
Al 0.255 0.255 0.255
Al 0.745 0.745 0.745

Largest 8 diffraction maxima, in order of rising 2θ, 2θ = 10–80°:
| 2θ/deg | I_rel |
| --- | --- |
| 25.0 | 1000 |
| 35.4 | 604 |
| 35.9 | 528 |
| 43.8 | 228 |
| 51.3 | 192 |
| 57.5 | 206 |
| 58.2 | 161 |
| 63.8 | 199 |

Entry 3:
Structure and simulated XRD peak list of SrTlVSe4 (the GGA-PBE geometry in Alexandria; CuKα).
Peak positions follow from Bragg's law for the DFT cell and can differ from measured ones.

Structure:
Cell lengths 7.060, 6.990, 9.069 Å; angles 90.00, 107.23, 90.00 degrees
Element x y z (fractional)
Sr 0.234 0.250 0.047
Sr 0.766 0.750 0.953
Tl 0.263 0.250 0.564
Tl 0.737 0.750 0.436
V 0.207 0.750 0.810
V 0.793 0.250 0.190
Se 0.006 0.507 0.247
Se 0.006 0.993 0.247
Se 0.381 0.750 0.066
Se 0.406 0.750 0.652
Se 0.594 0.250 0.348
Se 0.619 0.250 0.934
Se 0.994 0.007 0.753
Se 0.994 0.493 0.753

Largest 8 diffraction maxima, in order of rising 2θ, 2θ = 10–80°:
| 2θ/deg | I_rel |
| --- | --- |
| 25.5 | 594 |
| 27.6 | 819 |
| 28.3 | 1000 |
| 28.8 | 591 |
| 30.5 | 729 |
| 32.9 | 697 |
| 33.1 | 710 |
| 37.0 | 782 |

Entry 4:
Structure and simulated XRD peak list of TlSn2Bi (the GGA-PBE geometry in Alexandria; CuKα).
Peak positions follow from Bragg's law for the DFT cell and can differ from measured ones.

Structure:
Cell lengths 4.878, 12.858, 8.174 Å; angles 90.00, 90.00, 90.00 degrees
Element x y z (fractional)
Tl 0.000 0.056 0.250
Tl 0.000 0.944 0.750
Tl 0.500 0.444 0.750
Tl 0.500 0.556 0.250
Sn 0.000 0.386 0.053
Sn 0.000 0.386 0.447
Sn 0.000 0.614 0.553
Sn 0.000 0.614 0.947
Sn 0.500 0.114 0.553
Sn 0.500 0.114 0.947
Sn 0.500 0.886 0.053
Sn 0.500 0.886 0.447
Bi 0.000 0.226 0.750
Bi 0.000 0.774 0.250
Bi 0.500 0.274 0.250
Bi 0.500 0.726 0.750

Largest 8 diffraction maxima, in order of rising 2θ, 2θ = 10–80°:
| 2θ/deg | I_rel |
| --- | --- |
| 29.3 | 614 |
| 29.8 | 1000 |
| 35.5 | 242 |
| 36.9 | 272 |
| 38.5 | 169 |
| 43.5 | 169 |
| 52.1 | 149 |
| 63.9 | 186 |